No. 1
Structure and theoretical powder XRD pattern of Tm5MgIn2 (a cell relaxed with GGA-PBE; Cu Kα X-rays).
Neutral-atom scattering factors, no anomalous dispersion.

Largest 10 diffraction maxima, in order of rising 2θ, 2θ from 10° to 80°:
| 2θ/deg | I (rel.) |
| --- | --- |
| 29.7 | 100 |
| 31.3 | 58 |
| 32.7 | 83 |
| 33.8 | 76 |
| 35.9 | 38 |
| 36.1 | 35 |
| 38.5 | 54 |
| 53.7 | 24 |
| 53.8 | 26 |
| 60.1 | 35 |

Structure:
Lattice parameters (Å, degrees): 6.020 6.020 16.805 90.00 90.00 134.31
Fractional coordinates of all 16 atoms:
Tm  0.030  0.970  0.750
Tm  0.152  0.848  0.538
Tm  0.152  0.848  0.962
Tm  0.457  0.543  0.598
Tm  0.457  0.543  0.902
Tm  0.543  0.457  0.098
Tm  0.543  0.457  0.402
Tm  0.848  0.152  0.038
Tm  0.848  0.152  0.462
Tm  0.970  0.030  0.250
Mg  0.312  0.688  0.750
Mg  0.688  0.312  0.250
In  0.258  0.742  0.151
In  0.258  0.742  0.349
In  0.742  0.258  0.651
In  0.742  0.258  0.849



No. 2
Structure and theoretical powder XRD pattern of MgCdCuF6 (a cell relaxed with GGA-PBE; Cu Kα X-rays).
Neutral-atom scattering factors, no anomalous dispersion.

Largest 10 diffraction maxima, in order of rising 2θ, 2θ from 10° to 80°:
| 2θ/deg | I (rel.) |
| --- | --- |
| 19.4 | 14 |
| 26.9 | 100 |
| 33.9 | 23 |
| 38.9 | 14 |
| 43.8 | 25 |
| 51.3 | 42 |
| 56.5 | 23 |
| 60.8 | 17 |
| 61.0 | 9 |
| 77.9 | 9 |

Structure:
Lattice parameters (Å, degrees): 5.281 5.281 9.656 90.00 90.00 120.00
Fractional coordinates of all 18 atoms:
Mg  0.333  0.667  0.250
Mg  0.667  0.333  0.750
Cd  0.000  0.000  0.000
Cd  0.000  0.000  0.500
Cu  0.333  0.667  0.750
Cu  0.667  0.333  0.250
F  0.005  0.355  0.137
F  0.005  0.650  0.363
F  0.350  0.355  0.363
F  0.350  0.995  0.137
F  0.355  0.005  0.637
F  0.355  0.350  0.863
F  0.645  0.650  0.137
F  0.645  0.995  0.363
F  0.650  0.005  0.863
F  0.650  0.645  0.637
F  0.995  0.350  0.637
F  0.995  0.645  0.863



No. 3
Structure and theoretical powder XRD pattern of CsN3Cl (a cell relaxed with GGA-PBE; Cu Kα X-rays).
Neutral-atom scattering factors, no anomalous dispersion.

Largest 10 diffraction maxima, in order of rising 2θ, 2θ from 10° to 80°:
| 2θ/deg | I (rel.) |
| --- | --- |
| 11.1 | 100 |
| 18.2 | 18 |
| 20.0 | 25 |
| 22.4 | 17 |
| 25.6 | 15 |
| 28.0 | 33 |
| 30.4 | 17 |
| 31.0 | 26 |
| 34.3 | 19 |
| 36.9 | 19 |

Structure:
Lattice parameters (Å, degrees): 4.925 4.925 8.104 98.07 98.07 89.81
Fractional coordinates of all 5 atoms:
Cs  0.000  0.000  0.000
N  0.041  0.556  0.324
N  0.556  0.041  0.324
N  0.580  0.580  0.688
Cl  0.505  0.505  0.031



No. 4
Structure and theoretical powder XRD pattern of Tb5BiRu (a cell relaxed with GGA-PBE; Cu Kα X-rays).
Neutral-atom scattering factors, no anomalous dispersion.

Largest 10 diffraction maxima, in order of rising 2θ, 2θ from 10° to 80°:
| 2θ/deg | I (rel.) |
| --- | --- |
| 27.0 | 30 |
| 30.7 | 84 |
| 31.0 | 67 |
| 31.2 | 41 |
| 32.0 | 100 |
| 32.6 | 29 |
| 33.1 | 44 |
| 35.9 | 22 |
| 42.2 | 23 |
| 43.4 | 22 |

Structure:
Lattice parameters (Å, degrees): 6.490 6.490 11.464 105.14 105.14 64.30
Fractional coordinates of all 14 atoms:
Tb  0.027  0.403  0.639
Tb  0.031  0.969  0.750
Tb  0.211  0.547  0.959
Tb  0.403  0.027  0.139
Tb  0.453  0.789  0.541
Tb  0.547  0.211  0.459
Tb  0.597  0.973  0.861
Tb  0.789  0.453  0.041
Tb  0.969  0.031  0.250
Tb  0.973  0.597  0.361
Bi  0.467  0.533  0.250
Bi  0.533  0.467  0.750
Ru  0.000  0.000  0.000
Ru  0.000  0.000  0.500



No. 5
Structure and theoretical powder XRD pattern of ErPaNi10 (a cell relaxed with GGA-PBE; Cu Kα X-rays).
Neutral-atom scattering factors, no anomalous dispersion.

Largest 10 diffraction maxima, in order of rising 2θ, 2θ from 10° to 80°:
| 2θ/deg | I (rel.) |
| --- | --- |
| 31.0 | 97 |
| 37.1 | 18 |
| 37.2 | 35 |
| 43.1 | 36 |
| 43.3 | 18 |
| 43.7 | 51 |
| 43.8 | 100 |
| 45.5 | 40 |
| 64.5 | 21 |
| 71.5 | 22 |

Structure:
Lattice parameters (Å, degrees): 3.987 4.851 8.355 90.00 90.00 90.00
Fractional coordinates of all 12 atoms:
Er  0.000  0.000  0.000
Pa  0.000  0.500  0.500
Ni  0.000  0.000  0.337
Ni  0.000  0.000  0.663
Ni  0.000  0.500  0.173
Ni  0.000  0.500  0.827
Ni  0.500  0.000  0.500
Ni  0.500  0.251  0.252
Ni  0.500  0.251  0.748
Ni  0.500  0.500  0.000
Ni  0.500  0.749  0.252
Ni  0.500  0.749  0.748



No. 6
Structure and theoretical powder XRD pattern of SmP12Os4 (a cell relaxed with GGA-PBE; Cu Kα X-rays).
Neutral-atom scattering factors, no anomalous dispersion.

Largest 10 diffraction maxima, in order of rising 2θ, 2θ from 10° to 80°:
| 2θ/deg | I (rel.) |
| --- | --- |
| 21.9 | 46 |
| 31.2 | 100 |
| 35.0 | 17 |
| 38.4 | 18 |
| 41.6 | 12 |
| 44.7 | 17 |
| 50.3 | 37 |
| 55.5 | 50 |
| 65.0 | 11 |
| 73.9 | 21 |

Structure:
Lattice parameters (Å, degrees): 7.028 7.028 7.028 109.47 109.47 109.47
Fractional coordinates of all 17 atoms:
Sm  0.000  0.000  0.000
P  0.143  0.357  0.500
P  0.143  0.643  0.786
P  0.214  0.857  0.357
P  0.357  0.214  0.857
P  0.357  0.500  0.143
P  0.500  0.143  0.357
P  0.500  0.857  0.643
P  0.643  0.500  0.857
P  0.643  0.786  0.143
P  0.786  0.143  0.643
P  0.857  0.357  0.214
P  0.857  0.643  0.500
Os  0.000  0.000  0.500
Os  0.000  0.500  0.000
Os  0.500  0.000  0.000
Os  0.500  0.500  0.500



No. 7
Structure and theoretical powder XRD pattern of La2SmTm9 (a cell relaxed with GGA-PBE; Cu Kα X-rays).
Neutral-atom scattering factors, no anomalous dispersion.

Largest 7 diffraction maxima, in order of rising 2θ, 2θ from 10° to 80°:
| 2θ/deg | I (rel.) |
| --- | --- |
| 30.9 | 100 |
| 35.8 | 51 |
| 51.5 | 36 |
| 61.3 | 43 |
| 64.3 | 12 |
| 75.8 | 2 |
| 75.9 | 4 |

Structure:
Lattice parameters (Å, degrees): 5.014 5.014 15.064 90.00 90.00 90.00
Fractional coordinates of all 12 atoms:
La  0.000  0.000  0.166
La  0.000  0.000  0.834
Sm  0.000  0.000  0.500
Tm  0.000  0.500  0.000
Tm  0.000  0.500  0.336
Tm  0.000  0.500  0.664
Tm  0.500  0.000  0.000
Tm  0.500  0.000  0.336
Tm  0.500  0.000  0.664
Tm  0.500  0.500  0.168
Tm  0.500  0.500  0.500
Tm  0.500  0.500  0.832



No. 8
Structure and theoretical powder XRD pattern of Pm2Er4Tm7 (a cell relaxed with GGA-PBE; Cu Kα X-rays).
Neutral-atom scattering factors, no anomalous dispersion.

Largest 10 diffraction maxima, in order of rising 2θ, 2θ from 10° to 80°:
| 2θ/deg | I (rel.) |
| --- | --- |
| 26.8 | 19 |
| 30.6 | 49 |
| 32.8 | 100 |
| 33.7 | 15 |
| 36.2 | 32 |
| 40.6 | 14 |
| 51.3 | 19 |
| 52.9 | 30 |
| 63.7 | 15 |
| 64.1 | 14 |

Structure:
Lattice parameters (Å, degrees): 5.992 5.992 13.283 90.00 90.00 120.00
Fractional coordinates of all 13 atoms:
Pm  0.333  0.667  0.000
Pm  0.667  0.333  0.000
Er  0.000  0.000  0.395
Er  0.000  0.000  0.605
Er  0.333  0.667  0.500
Er  0.667  0.333  0.500
Tm  0.000  0.000  0.000
Tm  0.000  0.349  0.215
Tm  0.000  0.651  0.785
Tm  0.349  0.000  0.215
Tm  0.349  0.349  0.785
Tm  0.651  0.000  0.785
Tm  0.651  0.651  0.215